Diffraction record for Li5Co7O12. The powder diffractogram is simulated, not measured: it uses a cell relaxed with PBE+U and Cu Kα, 1.54184 Å.

Crystal structure
Cell: 4.9875 8.7479 9.5843 Å, 90.00 100.62 90.00°
Space group C2 (No. 5)
Unique sites:
Li (0.0000, 0.0000, 0.0000)
Li (0.2484, 0.5050, 0.2431)
Li (0.2497, 0.1683, 0.2418)
Co (0.0000, 0.1703, 0.5000)
Co (0.0000, 0.3373, 0.0000)
Co (0.0000, 0.5092, 0.5000)
Co (0.0000, 0.6698, 0.0000)
Co (0.0000, 0.8388, 0.5000)
Co (0.2468, 0.8400, 0.2432)
O (0.1020, 0.3444, 0.3694)
O (0.1175, 0.8213, 0.8834)
O (0.1189, 0.4909, 0.8850)
O (0.1321, 0.6805, 0.3707)
O (0.1441, 0.1878, 0.8811)
O (0.1446, 0.9981, 0.3706)

Largest 10 diffraction maxima, by angle, 2θ from 15° to 90°:
index, Position (°2θ), intensity
0 0 2, 18.84, 363
0 2 0, 20.30, 264
1 1 -1, 21.39, 200
1 1 1, 24.20, 340
1 3 1, 38.01, 278
2 0 -2, 38.18, 296
1 3 -3, 44.06, 1000
2 0 2, 44.71, 481
3 3 -1, 64.53, 270
1 3 5, 64.63, 267